LiMn2C4O12: simulated powder diffraction line list (CuKα), based on a cell relaxed with PBE+U.
Kinematic intensities with the Lorentz-polarization factor, no thermal factor.

The 12 most intense peaks (2θ from 15° to 90°), low angle first:
2θ/deg	I_rel	hkl
17.56	50	0 1 -1
18.24	38	0 1 1
18.48	100	1 0 0
21.26	13	1 0 -1
22.13	23	-1 1 1
22.75	20	1 -1 1
28.18	10	1 1 -1
29.43	19	0 2 -1
30.25	22	0 2 1
38.02	18	1 2 0
38.87	9	2 -2 0
43.83	9	0 3 1

Structural model:
```
19
Lattice="5.073 0.000 0.000 -2.181 6.513 0.000 -0.385 -0.290 7.641" Properties=species:S:1:pos:R:3 pbc="T T T"
Li 0.000 0.000 0.000
Mn 1.233 5.552 3.407
Mn 2.195 2.240 7.262
C 2.438 0.007 1.425
C 1.527 3.386 1.577
C 3.149 1.204 5.300
C 2.096 4.672 5.431
O -0.413 6.168 2.481
O 0.854 3.165 0.492
O 1.893 0.492 0.389
O 0.954 3.823 2.646
O 0.814 4.870 5.191
O 1.962 1.724 5.352
O 1.559 6.314 1.541
O 2.796 3.099 1.514
O 3.673 0.774 4.209
O 2.533 4.344 6.578
O 3.805 1.217 6.435
O 2.843 4.919 4.397
```